[1]
This entry pairs a crystal structure of HfZr2Te4 with its computed powder diffractogram. Radiation: Cu Kα, 1.54184 Å. Structure: a crystal structure in Alexandria, relaxed with PBE.
No peak broadening, texture or thermal motion is included.

Cell and atoms:
Cell lengths 7.909, 7.909, 8.138 Å; angles 104.09, 104.09, 119.01 degrees
Sites, in units of the cell vectors:
1 Hf 0.124 0.876 0.500
2 Hf 0.876 0.124 0.000
3 Zr 0.142 0.899 0.072
4 Zr 0.441 0.706 0.593
5 Zr 0.706 0.441 0.093
6 Zr 0.899 0.142 0.572
7 Te 0.102 0.618 0.718
8 Te 0.152 0.598 0.211
9 Te 0.187 0.218 0.382
10 Te 0.218 0.187 0.882
11 Te 0.598 0.152 0.711
12 Te 0.618 0.102 0.218
13 Te 0.684 0.686 0.390
14 Te 0.686 0.684 0.890

Peak list (10 most intense, 2θ from 10° to 90°, by angle)
Position (°2θ)	d (Å)	I (rel.)
14.3	6.193	39
28.2	3.163	100
28.5	3.129	94
28.8	3.096	81
36.4	2.466	91
36.7	2.449	80
36.9	2.433	94
43.9	2.061	45
44.6	2.034	43
45.2	2.007	49

[2]
This entry pairs a crystal structure of Hf3Th with its computed powder diffractogram. Radiation: Cu Kα, 1.54184 Å. Structure: a crystal structure in Alexandria, relaxed with PBE.
No peak broadening, texture or thermal motion is included.

Cell and atoms:
Cell lengths 6.636, 6.636, 5.262 Å; angles 90.00, 90.00, 120.00 degrees
Sites, in units of the cell vectors:
1 Hf 0.155 0.310 0.250
2 Hf 0.155 0.845 0.250
3 Hf 0.310 0.155 0.750
4 Hf 0.690 0.845 0.250
5 Hf 0.845 0.155 0.750
6 Hf 0.845 0.690 0.750
7 Th 0.333 0.667 0.750
8 Th 0.667 0.333 0.250

Peak list (10 most intense, 2θ from 10° to 90°, by angle)
Position (°2θ)	d (Å)	I (rel.)
31.1	2.874	24
34.1	2.631	26
35.6	2.522	100
46.8	1.941	16
55.4	1.659	18
62.0	1.497	20
66.6	1.403	21
67.6	1.386	14
75.4	1.261	4
87.8	1.112	7

[3]
This entry pairs a crystal structure of HfTh5 with its computed powder diffractogram. Radiation: Cu Kα, 1.54184 Å. Structure: a crystal structure in Alexandria, relaxed with PBE.
No peak broadening, texture or thermal motion is included.

Cell and atoms:
Cell lengths 7.870, 7.870, 4.928 Å; angles 90.00, 90.00, 143.29 degrees
Sites, in units of the cell vectors:
1 Hf 0.000 0.000 0.000
2 Th 0.161 0.839 0.500
3 Th 0.335 0.665 0.000
4 Th 0.500 0.500 0.500
5 Th 0.665 0.335 0.000
6 Th 0.839 0.161 0.500

Peak list (10 most intense, 2θ from 10° to 90°, by angle)
Position (°2θ)	d (Å)	I (rel.)
31.3	2.860	100
36.1	2.490	17
36.2	2.478	17
36.5	2.464	17
52.1	1.756	12
52.4	1.747	12
61.9	1.499	14
62.1	1.494	15
62.4	1.488	15
65.2	1.430	13

[4]
This entry pairs a crystal structure of HfThTi with its computed powder diffractogram. Radiation: Cu Kα, 1.54184 Å. Structure: a crystal structure in Alexandria, relaxed with PBE.
No peak broadening, texture or thermal motion is included.

Cell and atoms:
Cell lengths 4.009, 4.855, 7.622 Å; angles 90.00, 105.18, 90.00 degrees
Sites, in units of the cell vectors:
1 Hf 0.246 0.250 0.493
2 Hf 0.754 0.750 0.507
3 Th 0.418 0.750 0.838
4 Th 0.582 0.250 0.162
5 Ti 0.107 0.750 0.212
6 Ti 0.893 0.250 0.788

Peak list (10 most intense, 2θ from 10° to 90°, by angle)
Position (°2θ)	d (Å)	I (rel.)
21.9	4.052	17
23.0	3.868	16
34.3	2.615	100
36.7	2.452	20
37.0	2.427	21
45.2	2.005	12
53.1	1.725	14
64.5	1.445	14
65.0	1.435	16
72.3	1.308	11

[5]
This entry pairs a crystal structure of HfThTl with its computed powder diffractogram. Radiation: Cu Kα, 1.54184 Å. Structure: a crystal structure in Alexandria, relaxed with PBE.
No peak broadening, texture or thermal motion is included.

Cell and atoms:
Cell lengths 7.697, 7.697, 7.697 Å; angles 155.19, 155.19, 35.37 degrees
Sites, in units of the cell vectors:
1 Hf 0.000 0.000 0.000
2 Th 0.338 0.338 0.000
3 Tl 0.656 0.656 0.000

Peak list (10 most intense, 2θ from 10° to 90°, by angle)
Position (°2θ)	d (Å)	I (rel.)
32.7	2.739	100
36.8	2.444	17
38.5	2.338	33
54.3	1.690	23
55.6	1.653	12
63.7	1.462	13
66.0	1.416	27
68.5	1.370	12
82.5	1.169	4
89.5	1.095	11

[6]
This entry pairs a crystal structure of YHfTh with its computed powder diffractogram. Radiation: Cu Kα, 1.54184 Å. Structure: a crystal structure in Alexandria, relaxed with PBE.
No peak broadening, texture or thermal motion is included.

Cell and atoms:
Cell lengths 3.728, 3.728, 12.572 Å; angles 90.00, 90.00, 90.00 degrees
Sites, in units of the cell vectors:
1 Y 0.250 0.250 0.210
2 Y 0.750 0.750 0.790
3 Hf 0.250 0.250 0.948
4 Hf 0.750 0.750 0.052
5 Th 0.250 0.250 0.593
6 Th 0.750 0.750 0.407

Peak list (10 most intense, 2θ from 10° to 90°, by angle)
Position (°2θ)	d (Å)	I (rel.)
14.1	6.286	20
27.8	3.206	16
32.1	2.785	100
34.0	2.636	56
48.9	1.864	20
50.1	1.819	14
59.7	1.549	35
64.3	1.448	12
81.7	1.179	9
84.8	1.143	13

[7]
This entry pairs a crystal structure of Hf2ThZr4 with its computed powder diffractogram. Radiation: Cu Kα, 1.54184 Å. Structure: a crystal structure in Alexandria, relaxed with PBE.
No peak broadening, texture or thermal motion is included.

Cell and atoms:
Cell lengths 5.407, 3.248, 10.443 Å; angles 90.00, 99.99, 90.00 degrees
Sites, in units of the cell vectors:
1 Hf 0.000 0.000 0.000
2 Hf 0.500 0.485 0.000
3 Th 0.500 0.395 0.500
4 Zr 0.075 0.520 0.738
5 Zr 0.412 0.983 0.237
6 Zr 0.588 0.983 0.763
7 Zr 0.925 0.520 0.262

Peak list (10 most intense, 2θ from 10° to 90°, by angle)
Position (°2θ)	d (Å)	I (rel.)
16.6	5.325	19
17.4	5.104	17
32.7	2.742	35
33.7	2.662	45
34.9	2.571	60
35.4	2.538	100
38.2	2.354	82
44.5	2.034	21
59.3	1.558	19
60.9	1.521	20

[8]
This entry pairs a crystal structure of Hf6ThZr with its computed powder diffractogram. Radiation: Cu Kα, 1.54184 Å. Structure: a crystal structure in Alexandria, relaxed with PBE.
No peak broadening, texture or thermal motion is included.

Cell and atoms:
Cell lengths 5.196, 6.480, 5.653 Å; angles 90.00, 90.00, 90.00 degrees
Sites, in units of the cell vectors:
1 Hf 0.000 0.000 0.000
2 Hf 0.000 0.244 0.514
3 Hf 0.000 0.756 0.514
4 Hf 0.500 0.238 0.831
5 Hf 0.500 0.500 0.367
6 Hf 0.500 0.762 0.831
7 Th 0.000 0.500 0.015
8 Zr 0.500 0.000 0.328

Peak list (10 most intense, 2θ from 10° to 90°, by angle)
Position (°2θ)	d (Å)	I (rel.)
31.7	2.827	11
31.8	2.811	26
34.5	2.598	39
36.2	2.483	52
36.3	2.472	100
47.7	1.908	17
56.5	1.629	19
63.0	1.475	20
67.9	1.380	21
69.2	1.357	15

[9]
This entry pairs a crystal structure of HfTi6 with its computed powder diffractogram. Radiation: Cu Kα, 1.54184 Å. Structure: a crystal structure in Alexandria, relaxed with PBE.
No peak broadening, texture or thermal motion is included.

Cell and atoms:
Cell lengths 5.861, 5.861, 5.861 Å; angles 109.47, 109.47, 109.47 degrees
Sites, in units of the cell vectors:
1 Hf 0.000 0.000 0.000
2 Ti 0.250 0.500 0.750
3 Ti 0.250 0.750 0.500
4 Ti 0.500 0.250 0.750
5 Ti 0.500 0.750 0.250
6 Ti 0.750 0.250 0.500
7 Ti 0.750 0.500 0.250

Peak list (10 most intense, 2θ from 10° to 90°, by angle)
Position (°2θ)	d (Å)	I (rel.)
18.5	4.785	15
26.3	3.384	43
32.4	2.763	100
50.5	1.809	56
54.2	1.692	16
61.3	1.513	15
64.6	1.443	13
77.2	1.236	15
80.2	1.196	9
89.2	1.098	16

[10]
This entry pairs a crystal structure of Hf5Ti with its computed powder diffractogram. Radiation: Cu Kα, 1.54184 Å. Structure: a crystal structure in Alexandria, relaxed with PBE.
No peak broadening, texture or thermal motion is included.

Cell and atoms:
Cell lengths 5.792, 5.792, 5.792 Å; angles 129.79, 116.01, 85.49 degrees
Sites, in units of the cell vectors:
1 Hf 0.000 0.000 0.000
2 Hf 0.338 0.338 0.000
3 Hf 0.415 0.666 0.749
4 Hf 0.824 0.324 0.500
5 Hf 0.917 0.666 0.251
6 Ti 0.497 0.997 0.500

Peak list (10 most intense, 2θ from 10° to 90°, by angle)
Position (°2θ)	d (Å)	I (rel.)
20.9	4.255	7
36.1	2.489	100
36.6	2.457	98
52.3	1.748	35
60.3	1.534	8
65.5	1.424	35
65.9	1.418	18
72.7	1.301	27
77.8	1.228	11
88.8	1.101	16

[11]
This entry pairs a crystal structure of HfTi5 with its computed powder diffractogram. Radiation: Cu Kα, 1.54184 Å. Structure: a crystal structure in Alexandria, relaxed with PBE.
No peak broadening, texture or thermal motion is included.

Cell and atoms:
Cell lengths 5.475, 5.475, 5.475 Å; angles 129.97, 116.03, 85.34 degrees
Sites, in units of the cell vectors:
1 Hf 0.000 0.000 0.000
2 Ti 0.085 0.333 0.752
3 Ti 0.418 0.667 0.752
4 Ti 0.500 0.000 0.500
5 Ti 0.582 0.333 0.248
6 Ti 0.915 0.667 0.248

Peak list (10 most intense, 2θ from 10° to 90°, by angle)
Position (°2θ)	d (Å)	I (rel.)
18.9	4.706	30
22.1	4.018	32
24.6	3.619	17
33.3	2.691	16
38.3	2.351	100
38.8	2.322	54
38.9	2.315	27
55.7	1.650	21
69.9	1.346	21
77.7	1.230	19

[12]
This entry pairs a crystal structure of Hf4Ti2Tl3 with its computed powder diffractogram. Radiation: Cu Kα, 1.54184 Å. Structure: a crystal structure in Alexandria, relaxed with PBE.
No peak broadening, texture or thermal motion is included.

Cell and atoms:
Cell lengths 7.795, 7.795, 8.076 Å; angles 109.62, 109.62, 24.61 degrees
Sites, in units of the cell vectors:
1 Hf 0.046 0.046 0.338
2 Hf 0.292 0.292 0.677
3 Hf 0.708 0.708 0.323
4 Hf 0.954 0.954 0.662
5 Ti 0.172 0.172 0.000
6 Ti 0.828 0.828 0.000
7 Tl 0.371 0.371 0.322
8 Tl 0.500 0.500 0.000
9 Tl 0.629 0.629 0.678

Peak list (10 most intense, 2θ from 10° to 90°, by angle)
Position (°2θ)	d (Å)	I (rel.)
11.7	7.584	18
32.9	2.726	17
35.4	2.538	46
35.5	2.528	55
36.6	2.454	100
37.2	2.419	91
50.1	1.820	19
64.1	1.452	20
65.2	1.430	16
67.4	1.389	32